Diffraction record for SiAg2O3. The powder diffractogram is calculated, not measured: it uses a cell relaxed with GGA-PBE and Cu Kα, 1.54184 Å.
Lines closer than 0.1° are merged.

Peak list (12 most intense, 5° ≤ 2θ ≤ 70°, by angle)
2θ = 15.17°, I 17, hkl 0 1 1; 2θ = 17.18°, I 19, hkl 0 0 2; 2θ = 28.85°, I 26, hkl 0 1 3; 2θ = 31.87°, I 100, hkl 1 2 0; 2θ = 32.47°, I 86, hkl 1 0 3; 2θ = 33.06°, I 37, hkl 1 2 1; 2θ = 34.92°, I 42, hkl 1 1 3; 2θ = 36.41°, I 71, hkl 0 2 3; 2θ = 39.11°, I 20, hkl 2 0 0; 2θ = 50.46°, I 18, hkl 2 2 2; 2θ = 54.49°, I 20, hkl 2 2 3; 2θ = 54.93°, I 20, hkl 0 1 6

Structural model:
Unit cell a=4.6077 b=7.0825 c=10.3237 alpha=90.00 beta=90.00 gamma=90.00
Space group P2_12_12_1 (No. 19)
Unique sites:
Si 0.0381 0.1421 0.0630
Ag 0.0211 0.5918 0.7761
Ag 0.1000 0.6354 0.1194
O 0.1080 0.4368 0.4617
O 0.1884 0.1558 0.2076
O 0.2068 0.8144 0.4521


Diffraction record for Ag2SnO3. The powder diffractogram is calculated, not measured: it uses a cell relaxed with GGA-PBE and Cu Kα, 1.54184 Å.
Lines closer than 0.1° are merged.

Peak list (12 most intense, 5° ≤ 2θ ≤ 70°, by angle)
2θ = 27.64°, I 46, hkl 0 0 4; 2θ = 31.89°, I 52, hkl 1 1 1; 2θ = 34.14°, I 100, hkl 1 1 2; 2θ = 37.63°, I 14, hkl 1 1 3; 2θ = 42.09°, I 10, hkl 1 1 4; 2θ = 47.32°, I 15, hkl 1 1 5; 2θ = 53.17°, I 35, hkl 1 1 6; 2θ = 55.35°, I 27, hkl 3 0 0; 2θ = 57.08°, I 7, hkl 0 0 8; 2θ = 59.56°, I 8, hkl 1 1 7; 2θ = 62.97°, I 28, hkl 3 0 4; 2θ = 66.66°, I 15, hkl 2 2 2

Structural model:
Unit cell a=5.7494 b=5.7494 c=12.9095 alpha=90.00 beta=90.00 gamma=120.00
Space group P6_322 (No. 182)
Unique sites:
Ag 0.0000 0.3187 0.0000
Ag 0.3333 0.6667 0.7500
Sn 0.0000 0.0000 0.2500
Sn 0.3333 0.6667 0.2500
O 0.0530 0.3337 0.1623


Diffraction record for Sr2AgSnO5. The powder diffractogram is calculated, not measured: it uses a cell relaxed with GGA-PBE and Cu Kα, 1.54184 Å.
Lines closer than 0.1° are merged.

Peak list (12 most intense, 5° ≤ 2θ ≤ 70°, by angle)
2θ = 16.81°, I 27, hkl 0 0 2; 2θ = 27.94°, I 80, hkl 0 2 3; 2θ = 28.92°, I 94, hkl 0 4 2; 2θ = 32.13°, I 72, hkl 1 3 0; 2θ = 32.32°, I 78, hkl 1 1 2; 2θ = 33.27°, I 75, hkl 1 3 1; 2θ = 36.41°, I 86, hkl 0 6 1; 2θ = 37.65°, I 100, hkl 1 1 3; 2θ = 43.77°, I 30, hkl 1 5 2; 2θ = 54.56°, I 37, hkl 1 3 5; 2θ = 55.13°, I 31, hkl 2 0 0; 2θ = 56.93°, I 31, hkl 1 7 3

Structural model:
Unit cell a=3.3318 b=15.2293 c=10.5513 alpha=90.00 beta=90.00 gamma=90.00
Space group Cmc2_1 (No. 36)
Unique sites:
Sr 0.0000 0.1095 0.0000
Sr 0.0000 0.1283 0.6124
Ag 0.0000 0.4636 0.7704
Sn 0.0000 0.2217 0.3255
O 0.0000 0.0858 0.3726
O 0.0000 0.2751 0.9599
O 0.0000 0.2945 0.6950
O 0.0000 0.3564 0.3133
O 0.0000 0.4966 0.0801